Diffraction record for K2Mg5Bi3H2. The powder diffraction line list is simulated, not measured: it uses DFT lattice parameters and positions (PBE) and Cu Kα (weighted mean of Kα1 and Kα2).
Lines closer than 0.1° are merged.

Peak list (8 most intense, 10 to 80 degrees two-theta, in order of rising 2θ)
2θ/deg  Rel. int.
19.3  100
27.1  42
29.6  62
33.4  66
38.7  29
43.6  35
46.9  20
49.5  30

Atomic structure:
```
K2Mg5Bi3H2
1.0
-2.329 2.329 13.835
2.329 -2.329 13.835
2.329 2.329 -13.835
K Mg Bi H
2 5 3 2
Cartesian
0.000 0.000 5.608
0.000 0.000 22.062
0.000 0.000 0.000
2.329 0.000 2.421
2.329 0.000 11.414
0.000 2.329 2.421
0.000 2.329 11.414
0.000 0.000 9.526
0.000 0.000 13.835
0.000 0.000 18.145
0.000 0.000 2.036
0.000 0.000 25.635
```